Entry 1:
Structure and simulated powder XRD pattern of NpTeCl2O6 (a structure optimized by DFT (PBE); Cu Kα (weighted mean of Kα1 and Kα2)).
Kinematic intensities with the Lorentz-polarization factor, no thermal factor.

Top 12 peaks for 2θ = 15–90°, most intense first:
two_theta	I_rel
23.37	100.0
24.05	28.8
30.23	28.1
26.78	26.4
28.96	24.0
36.91	16.3
32.83	15.8
47.78	13.6
32.69	12.7
34.12	12.6
16.75	12.6
51.88	10.9

Crystal structure
```
10
Lattice="5.469 0.000 0.000 0.205 5.532 0.000 1.559 0.823 5.912" Properties=species:S:1:pos:R:3 pbc="T T T"
Np 0.000 0.000 0.000
Te 2.837 2.766 0.000
Cl 1.457 5.044 2.499
Cl 5.776 1.311 3.413
O 2.686 2.403 5.774
O 3.303 5.232 5.381
O 2.465 3.071 1.779
O 4.768 3.284 4.133
O 3.930 1.123 0.531
O 4.547 3.952 0.138
```



Entry 2:
Structure and simulated powder XRD pattern of PmNpCl6 (a structure optimized by DFT (PBE); Cu Kα (weighted mean of Kα1 and Kα2)).
Kinematic intensities with the Lorentz-polarization factor, no thermal factor.

Top 12 peaks for 2θ = 15–90°, most intense first:
two_theta	I_rel
17.75	100.0
30.57	59.1
22.57	47.5
39.77	27.0
32.77	25.4
40.13	22.3
30.42	20.3
30.89	19.6
45.09	19.4
35.94	19.2
45.77	19.0
42.60	15.3

Crystal structure
```
16
Lattice="6.935 0.000 0.000 0.000 12.339 0.000 -1.816 0.000 6.555" Properties=species:S:1:pos:R:3 pbc="T T T"
Pm 0.000 0.000 0.000
Pm 3.467 6.170 0.000
Np -0.908 6.170 3.277
Np 2.560 0.000 3.277
Cl 0.344 0.000 4.883
Cl 1.284 1.792 1.629
Cl 0.368 4.377 4.926
Cl 0.368 7.962 4.926
Cl 1.284 10.547 1.629
Cl 1.308 6.170 1.672
Cl 3.811 6.170 4.883
Cl 3.835 1.792 4.926
Cl 4.751 4.377 1.629
Cl 4.751 7.962 1.629
Cl 3.835 10.547 4.926
Cl 4.776 0.000 1.672
```



Entry 3:
Structure and simulated powder XRD pattern of PrNpCl6 (a structure optimized by DFT (PBE); Cu Kα (weighted mean of Kα1 and Kα2)).
Kinematic intensities with the Lorentz-polarization factor, no thermal factor.

Top 12 peaks for 2θ = 15–90°, most intense first:
two_theta	I_rel
20.27	100.0
38.16	51.0
42.75	30.1
16.45	30.0
33.26	29.5
46.03	21.5
26.09	20.4
29.52	19.5
44.41	13.5
57.96	12.5
61.28	12.4
59.29	11.6

Crystal structure
```
16
Lattice="6.831 0.000 0.000 -3.416 5.916 0.000 0.000 0.000 13.040" Properties=species:S:1:pos:R:3 pbc="T T T"
Pr 0.000 3.944 3.260
Pr 3.416 1.972 9.780
Np 0.000 0.000 0.000
Np 0.000 0.000 6.520
Cl -1.051 1.945 1.632
Cl -2.256 4.033 4.888
Cl 1.051 1.945 4.888
Cl -1.205 5.853 1.632
Cl 2.210 0.063 8.152
Cl 1.159 1.883 11.408
Cl 2.256 4.033 1.632
Cl 1.205 5.853 4.888
Cl 4.621 0.063 11.408
Cl 2.365 3.970 8.152
Cl 5.672 1.883 8.152
Cl 4.466 3.970 11.408
```



Entry 4:
Structure and simulated powder XRD pattern of RbNpCl6 (a structure optimized by DFT (PBE); Cu Kα (weighted mean of Kα1 and Kα2)).
Kinematic intensities with the Lorentz-polarization factor, no thermal factor.

Top 12 peaks for 2θ = 15–90°, most intense first:
two_theta	I_rel
16.82	100.0
22.96	78.1
36.98	50.7
30.09	48.9
42.53	31.9
24.76	28.2
39.35	23.3
36.72	21.5
52.05	18.8
50.79	18.5
39.18	15.0
54.97	13.2

Crystal structure
```
8
Lattice="3.595 2.076 6.597 -3.595 2.076 6.597 0.000 -4.152 6.597" Properties=species:S:1:pos:R:3 pbc="T T T"
Rb 0.000 0.000 0.000
Np 0.000 0.000 9.896
Cl -1.774 -1.024 8.423
Cl 0.000 -2.049 11.369
Cl -1.774 1.024 11.369
Cl 1.774 -1.024 8.423
Cl 0.000 2.049 8.423
Cl 1.774 1.024 11.369
```



Entry 5:
Structure and simulated powder XRD pattern of RbNpTeCl2 (a structure optimized by DFT (PBE); Cu Kα (weighted mean of Kα1 and Kα2)).
Kinematic intensities with the Lorentz-polarization factor, no thermal factor.

Top 12 peaks for 2θ = 15–90°, most intense first:
two_theta	I_rel
28.82	100.0
38.01	51.8
19.75	42.6
32.14	23.0
29.81	20.7
45.60	18.3
39.60	16.1
54.40	15.1
41.52	15.0
22.71	13.1
73.45	12.7
20.12	11.5

Crystal structure
```
10
Lattice="2.276 -8.991 0.000 2.276 8.991 0.000 0.000 0.000 8.700" Properties=species:S:1:pos:R:3 pbc="T T T"
Rb 2.276 5.151 6.525
Rb 2.276 -5.151 2.175
Np 2.276 0.000 0.000
Np 2.276 0.000 4.350
Te 2.276 8.930 2.175
Te 2.276 -8.930 6.525
Cl 2.276 2.701 0.072
Cl 2.276 2.701 4.278
Cl 2.276 -2.701 4.422
Cl 2.276 -2.701 8.628
```



Entry 6:
Structure and simulated powder XRD pattern of NpS4Cl4 (a structure optimized by DFT (PBE); Cu Kα (weighted mean of Kα1 and Kα2)).
Kinematic intensities with the Lorentz-polarization factor, no thermal factor.

Top 12 peaks for 2θ = 15–90°, most intense first:
two_theta	I_rel
18.68	100.0
27.41	73.8
27.08	68.9
21.25	66.3
24.82	50.0
24.13	48.0
28.19	47.1
33.69	43.3
45.27	40.3
22.55	39.1
35.76	37.9
35.59	36.2

Crystal structure
```
9
Lattice="4.047 0.000 0.000 -1.914 8.362 0.000 -0.326 -0.121 9.498" Properties=species:S:1:pos:R:3 pbc="T T T"
Np 0.000 0.000 0.000
S -0.107 3.845 3.450
S -0.108 5.428 4.482
S 1.915 2.813 5.016
S 1.915 4.396 6.048
Cl -0.003 0.193 2.485
Cl 0.109 6.580 0.131
Cl 1.698 1.661 9.367
Cl 1.810 8.048 7.013
```